# TlCrBrO4
Computed XRD peak list, CuKα. Input: a GGA+U-relaxed structure.
Neutral-atom scattering factors, no anomalous dispersion.

Structure:
```
TlCrBrO4
1.0
4.6972 -3.6122 0.0000
4.6972 3.6122 0.0000
-4.6154 0.0000 8.2983
Tl Cr Br O
2 2 2 8
direct
0.0490 0.0490 0.2278 Tl
0.9510 0.9510 0.7722 Tl
0.3057 0.3057 0.6646 Cr
0.6943 0.6943 0.3354 Cr
0.2244 0.2244 0.0574 Br
0.7756 0.7756 0.9426 Br
0.1331 0.1331 0.6715 O
0.2340 0.6029 0.7584 O
0.2643 0.2643 0.4711 O
0.3971 0.7660 0.2416 O
0.6029 0.2340 0.7584 O
0.7357 0.7357 0.5289 O
0.7660 0.3971 0.2416 O
0.8669 0.8669 0.3285 O
```

The 12 most intense peaks (10 to 80 degrees two-theta), in order of falling intensity:
2θ (°)  Rel. int.
16.35  1000
24.65  622
31.06  442
21.83  254
47.58  253
21.42  242
18.89  242
35.33  232
28.85  206
31.63  198
38.98  181
50.70  149